# Pr5Sm3Se8
Simulated powder diffractogram, Cu Ka. Input: a DFT-relaxed cell (PBE, Alexandria).

Crystal structure
```
data_Pr5Sm3Se8
_chemical_formula_sum 'Pr15 Sm9 Se24'
_cell_length_a 8.4606
_cell_length_b 8.4606
_cell_length_c 20.7641
_cell_angle_alpha 90.00
_cell_angle_beta 90.00
_cell_angle_gamma 120.00
_symmetry_space_group_name_H-M 'R -3 m'
_symmetry_Int_Tables_number 166
_symmetry_space_group_name_Hall '-R 3 2"'
loop_
_atom_site_label
_atom_site_type_symbol
_atom_site_fract_x
_atom_site_fract_y
_atom_site_fract_z
_atom_site_occupancy
Pr1 Pr 0.0000 0.0000 0.0000 1
Pr2 Pr 0.0000 0.0000 0.5000 1
Pr3 Pr 0.0000 0.5000 0.0000 1
Sm1 Sm 0.0000 0.5000 0.5000 1
Se1 Se 0.0000 0.0000 0.2471 1
Se2 Se 0.0039 0.5020 0.7520 1
```

Main lines, low angle first (15 to 90 degrees two-theta):
(hkl)  2θ/deg  intensity
0 0 6  25.78  16
0 2 4  29.85  100
2 2 0  42.72  75
0 2 10  50.57  8
4 0 4  52.99  26
0 4 8  62.01  12
2 4 4  70.33  34
0 2 16  78.13  6
6 0 0  78.26  19
2 4 10  84.03  2

---

# Pr2Sm2Se5
Simulated powder diffractogram, Cu Ka. Input: a DFT-relaxed cell (PBE, Alexandria).

Crystal structure
```
data_Pr2Sm2Se5
_chemical_formula_sum 'Pr8 Sm8 Se20'
_cell_length_a 15.014
_cell_length_b 7.911
_cell_length_c 7.887
_cell_angle_alpha 90.00
_cell_angle_beta 90.00
_cell_angle_gamma 90.00
_symmetry_space_group_name_H-M 'C m c e'
_symmetry_Int_Tables_number 64
_symmetry_space_group_name_Hall '-C 2ac 2'
loop_
_atom_site_label
_atom_site_type_symbol
_atom_site_fract_x
_atom_site_fract_y
_atom_site_fract_z
_atom_site_occupancy
Pr1 Pr 0.197 0.000 0.000 1
Sm1 Sm 0.000 0.151 0.343 1
Se1 Se 0.000 0.000 0.000 1
Se2 Se 0.137 0.158 0.654 1
```

Main lines, low angle first (15 to 90 degrees two-theta):
(hkl)  2θ/deg  intensity
2 0 2  25.49  34
2 2 1  27.89  37
3 1 2  31.01  73
0 2 2  32.05  35
5 1 1  33.89  28
4 2 1  34.86  60
6 0 0  35.89  26
1 1 3  36.46  100
5 1 3  47.34  50
7 3 3  66.50  21

---

# PrSm4Se4
Simulated powder diffractogram, Cu Ka. Input: a DFT-relaxed cell (PBE, Alexandria).

Crystal structure
```
data_PrSm4Se4
_chemical_formula_sum 'Pr2 Sm8 Se8'
_cell_length_a 9.291
_cell_length_b 9.291
_cell_length_c 5.865
_cell_angle_alpha 90.00
_cell_angle_beta 90.00
_cell_angle_gamma 90.00
_symmetry_space_group_name_H-M 'I 4/m'
_symmetry_Int_Tables_number 87
_symmetry_space_group_name_Hall '-I 4'
loop_
_atom_site_label
_atom_site_type_symbol
_atom_site_fract_x
_atom_site_fract_y
_atom_site_fract_z
_atom_site_occupancy
Pr1 Pr 0.000 0.000 0.000 1
Sm1 Sm 0.105 0.699 0.500 1
Se1 Se 0.099 0.695 0.000 1
```

Main lines, low angle first (15 to 90 degrees two-theta):
(hkl)  2θ/deg  intensity
1 2 1  26.29  31
0 0 2  30.44  100
3 1 2  43.59  74
1 2 3  51.62  15
2 4 2  54.10  26
6 2 0  63.31  8
5 0 3  69.81  6
6 2 2  71.87  22
3 1 4  71.97  11
2 4 4  80.05  25

---

# Pr2SmSe4
Simulated powder diffractogram, Cu Ka. Input: a DFT-relaxed cell (PBE, Alexandria).

Crystal structure
```
data_Pr2SmSe4
_chemical_formula_sum 'Pr8 Sm4 Se16'
_cell_length_a 8.450
_cell_length_b 8.513
_cell_length_c 11.793
_cell_angle_alpha 90.00
_cell_angle_beta 90.00
_cell_angle_gamma 90.00
_symmetry_space_group_name_H-M 'I m m a'
_symmetry_Int_Tables_number 74
_symmetry_space_group_name_Hall '-I 2b 2'
loop_
_atom_site_label
_atom_site_type_symbol
_atom_site_fract_x
_atom_site_fract_y
_atom_site_fract_z
_atom_site_occupancy
Pr1 Pr 0.000 0.000 0.000 1
Pr2 Pr 0.250 0.250 0.250 1
Sm1 Sm 0.250 0.250 0.750 1
Se1 Se 0.000 0.005 0.744 1
Se2 Se 0.248 0.250 0.998 1
```

Main lines, low angle first (15 to 90 degrees two-theta):
(hkl)  2θ/deg  intensity
2 2 0  29.79  100
0 0 4  30.32  48
0 4 0  42.47  19
4 0 0  42.81  18
2 2 4  43.02  72
0 4 4  53.07  19
4 0 4  53.35  19
6 2 0  70.44  25
2 2 8  71.29  16
2 6 4  78.10  12